(1)
Structure and theoretical X-ray powder pattern of HgAs2 (a cell relaxed with PBE; Cu Ka).
Peak positions follow from Bragg's law for the DFT cell and can differ from measured ones.

Structural model:
Cell: 5.7069 5.7069 5.7069 Å, 60.00 60.00 60.00°
Positions (direct):
Hg 0.1250 0.1250 0.1250
Hg 0.8750 0.8750 0.8750
As 0.0000 0.5000 0.5000
As 0.5000 0.0000 0.5000
As 0.5000 0.5000 0.0000
As 0.5000 0.5000 0.5000

Main lines, in order of rising 2θ (2θ = 10–90°):
d (Å)  I/Imax
4.660  13
2.853  64
2.433  100
2.330  15
1.647  26
1.553  34
1.427  25
1.276  11
1.231  12
1.217  5

(2)
Structure and theoretical X-ray powder pattern of HgAsIrO (a cell relaxed with PBE; Cu Ka).
Peak positions follow from Bragg's law for the DFT cell and can differ from measured ones.

Structural model:
Cell: 3.5282 6.3471 7.3688 Å, 90.00 90.00 90.00°
Positions (direct):
Hg 0.0000 0.1787 0.0000
Hg 0.0000 0.8213 0.5000
As 0.0000 0.2197 0.3718
As 0.0000 0.7803 0.8718
Ir 0.5000 0.4627 0.4367
Ir 0.5000 0.5373 0.9367
O 0.5000 0.4219 0.6963
O 0.5000 0.5781 0.1963

Main lines, in order of rising 2θ (2θ = 10–90°):
d (Å)  I/Imax
6.347  22
4.809  25
3.684  86
3.084  71
2.915  33
2.845  40
2.362  100
1.987  41
1.921  26
1.764  25

Q: Number 2 is which compound?
A: HgAsIrO